Simulated powder diffractogram
Compound: Tm2Hf2O7
Radiation: Cu Ka
Structure: a structure optimized by DFT (GGA-PBE)

Crystal structure
Unit cell a=10.424 b=10.424 c=10.424 alpha=90.00 beta=90.00 gamma=90.00
Space group Fd-3m (No. 227, origin choice 2)
Asymmetric unit:
Tm1 0.000 0.000 0.000 [16 per cell]
Hf1 0.000 0.000 0.500 [16 per cell]
O1 0.090 0.375 0.875 [48 per cell]
O2 0.125 0.125 0.125 [8 per cell]

Top 8 peaks for 10° ≤ 2θ ≤ 90°, by angle:
two_theta	d_spacing	intensity
29.69	3.009	100
34.41	2.606	36
49.46	1.843	46
58.76	1.571	44
61.65	1.505	11
72.55	1.303	7
80.29	1.196	18
82.83	1.165	15